Simulated X-ray powder pattern of Tb2CeGe2Pt7 for Cu Ka, from DFT lattice parameters and positions (GGA-PBE).
No peak broadening, texture or thermal motion is included.

Crystal structure
```
data_Tb2CeGe2Pt7
_cell_length_a 5.8153
_cell_length_b 5.7297
_cell_length_c 14.1773
_cell_angle_alpha 90.00
_cell_angle_beta 99.15
_cell_angle_gamma 90.00
_symmetry_space_group_name_H-M 'C 1 2/m 1'
_symmetry_Int_Tables_number 12
loop_
_symmetry_equiv_pos_as_xyz
'x,y,z'
'-x,-y,-z'
'-x,y,-z'
'x,-y,z'
'x+1/2,y+1/2,z'
'-x+1/2,-y+1/2,-z'
'-x+1/2,y+1/2,-z'
'x+1/2,-y+1/2,z'
loop_
_atom_site_label
_atom_site_type_symbol
_atom_site_fract_x
_atom_site_fract_y
_atom_site_fract_z
_atom_site_occupancy
Tb1 Tb 0.1237 0.0000 0.3607 1
Ce1 Ce 0.0000 0.0000 0.0000 1
Ge1 Ge 0.1021 0.5000 0.2600 1
Pt1 Pt 0.0000 0.5000 0.0000 1
Pt2 Pt 0.1357 0.5000 0.4328 1
Pt3 Pt 0.1876 0.2501 0.8432 1
```

Largest 6 diffraction maxima, by angle, 2θ = 5–70°:
d_spacing, 2θ/deg, I/Imax
13.997, 6.31, 51
2.804, 31.92, 52
2.639, 33.97, 42
2.518, 35.66, 94
2.440, 36.83, 100
2.040, 44.42, 83

***

Simulated X-ray powder pattern of TlCdBrF2 for Cu Ka, from DFT lattice parameters and positions (GGA-PBE).
No peak broadening, texture or thermal motion is included.

Crystal structure
```
data_TlCdBrF2
_cell_length_a 4.5580
_cell_length_b 4.5580
_cell_length_c 5.5890
_cell_angle_alpha 90.00
_cell_angle_beta 90.00
_cell_angle_gamma 90.00
_symmetry_space_group_name_H-M 'P 4/m m m'
_symmetry_Int_Tables_number 123
_symmetry_space_group_name_Hall '-P 4 2'
loop_
_atom_site_label
_atom_site_type_symbol
_atom_site_fract_x
_atom_site_fract_y
_atom_site_fract_z
_atom_site_occupancy
Tl1 Tl 0.0000 0.0000 0.0000 1
Cd1 Cd 0.5000 0.5000 0.5000 1
Br1 Br 0.5000 0.5000 0.0000 1
F1 F 0.0000 0.5000 0.5000 1
```

Largest 6 diffraction maxima, by angle, 2θ = 5–70°:
d_spacing, 2θ/deg, I/Imax
3.532, 25.21, 100
3.223, 27.68, 94
2.793, 32.04, 92
2.279, 39.54, 54
2.111, 42.83, 67
1.766, 51.76, 49

***

Simulated X-ray powder pattern of CoB6N6 for Cu Ka, from DFT lattice parameters and positions (GGA-PBE).
No peak broadening, texture or thermal motion is included.

Crystal structure
```
data_CoB6N6
_cell_length_a 4.5143
_cell_length_b 4.5143
_cell_length_c 4.5143
_cell_angle_alpha 90.00
_cell_angle_beta 90.00
_cell_angle_gamma 90.00
_symmetry_space_group_name_H-M 'P m -3'
_symmetry_Int_Tables_number 200
_symmetry_space_group_name_Hall '-P 2 2 3'
loop_
_atom_site_label
_atom_site_type_symbol
_atom_site_fract_x
_atom_site_fract_y
_atom_site_fract_z
_atom_site_occupancy
Co1 Co 0.0000 0.0000 0.0000 1
B1 B 0.0000 0.2450 0.5000 1
N1 N 0.0000 0.5000 0.2518 1
```

Largest 6 diffraction maxima, by angle, 2θ = 5–70°:
d_spacing, 2θ/deg, I/Imax
4.514, 19.67, 100
2.606, 34.41, 31
2.257, 39.94, 42
2.019, 44.90, 48
1.843, 49.46, 82
1.505, 61.64, 19